Diffraction record for NaTm6Se8. The X-ray diffraction stick pattern is theoretical, not measured: it uses the PBE geometry in Alexandria and a wavelength of 1.5418 Å.

Structure:
a = 8.018 Å, b = 8.018 Å, c = 8.018 Å
α = 60.00°, β = 60.00°, γ = 60.00°
Sites, in units of the cell vectors:
Na: 0.000 0.000 0.000
Tm: 0.000 0.000 0.500
Tm: 0.000 0.500 0.000
Tm: 0.000 0.500 0.500
Tm: 0.500 0.000 0.000
Tm: 0.500 0.000 0.500
Tm: 0.500 0.500 0.000
Se: 0.250 0.250 0.250
Se: 0.256 0.256 0.744
Se: 0.256 0.744 0.256
Se: 0.256 0.744 0.744
Se: 0.744 0.256 0.256
Se: 0.744 0.256 0.744
Se: 0.744 0.744 0.256
Se: 0.750 0.750 0.750

Peak list (10 most intense, 10 to 90 degrees two-theta, sorted by position)
2theta  I_rel
15.63  19
22.17  17
27.24  11
31.56  100
35.40  10
45.24  74
56.20  26
65.90  12
74.90  33
83.53  25